# 1
# AgSO4
Simulated X-ray diffraction stick pattern, Cu Ka. Input: a cell relaxed with PBE.
Lines closer than 0.1° are merged.

a b c (Å): 4.7981 4.8914 8.3823
angles (deg): 79.92 75.81 62.78
Atoms (fractional coordinates):
1 Ag 0.0000 0.0000 0.0000
2 Ag 0.5000 0.5000 0.5000
3 S 0.1563 0.3840 0.2510
4 S 0.8437 0.6160 0.7490
5 O 0.0204 0.2576 0.4099
6 O 0.0854 0.2953 0.7823
7 O 0.2509 0.1861 0.1134
8 O 0.4636 0.3789 0.2684
9 O 0.5364 0.6211 0.7316
10 O 0.7491 0.8139 0.8866
11 O 0.9146 0.7047 0.2177
12 O 0.9796 0.7424 0.5901

Principal peaks in the range 2θ = 10–90°, sorted by position:
- d 4.049, I = 34.5
- d 3.947, I = 29.5
- d 3.714, I = 100.0
- d 3.465, I = 64.9
- d 3.284, I = 73.3
- d 2.551, I = 27.9
- d 2.517, I = 32.6
- d 2.396, I = 20.6
- d 2.097, I = 25.6
- d 2.026, I = 32.3

***

# 2
# CdAg
Simulated X-ray diffraction stick pattern, Cu Ka. Input: a cell relaxed with PBE.
Lines closer than 0.1° are merged.

a b c (Å): 3.4036 4.8282 4.7902
angles (deg): 90.00 90.00 90.00
Atoms (fractional coordinates):
1 Cd 0.0000 0.0000 0.0000
2 Cd 0.5000 0.5000 0.0000
3 Ag 0.0000 0.5000 0.5000
4 Ag 0.5000 0.0000 0.5000

Principal peaks in the range 2θ = 10–90°, sorted by position:
- d 2.414, I = 25.3
- d 2.406, I = 100.0
- d 2.395, I = 24.7
- d 1.701, I = 24.8
- d 1.392, I = 24.7
- d 1.387, I = 8.1
- d 1.385, I = 16.2
- d 1.207, I = 2.6
- d 1.203, I = 10.2
- d 1.198, I = 2.5

***

# 3
# Lu3Mg2WS8
Simulated X-ray diffraction stick pattern, Cu Ka. Input: a cell relaxed with PBE.
Lines closer than 0.1° are merged.

a b c (Å): 7.6118 7.6118 7.6118
angles (deg): 61.08 61.08 61.08
Atoms (fractional coordinates):
1 Lu 0.0000 0.5000 0.5000
2 Lu 0.5000 0.0000 0.5000
3 Lu 0.5000 0.5000 0.0000
4 Mg 0.1252 0.1252 0.1252
5 Mg 0.8748 0.8748 0.8748
6 W 0.5000 0.5000 0.5000
7 S 0.2564 0.2564 0.2564
8 S 0.2655 0.2655 0.7293
9 S 0.2655 0.7293 0.2655
10 S 0.2707 0.7345 0.7345
11 S 0.7293 0.2655 0.2655
12 S 0.7345 0.2707 0.7345
13 S 0.7345 0.7345 0.2707
14 S 0.7436 0.7436 0.7436

Principal peaks in the range 2θ = 10–90°, sorted by position:
- d 6.298, I = 100.0
- d 6.164, I = 23.5
- d 3.296, I = 26.4
- d 3.276, I = 52.5
- d 3.238, I = 27.2
- d 3.149, I = 30.6
- d 2.712, I = 92.1
- d 2.089, I = 21.2
- d 1.934, I = 41.0
- d 1.902, I = 39.1